Computed PXRD pattern of Li3Fe2Si2O8 for Cu Kα (weighted mean of Kα1 and Kα2), from a structure optimized by DFT (PBE+U).
No peak broadening, texture or thermal motion is included.

Most intense lines, 2θ from 10° to 90°, by angle:
| 2θ/deg | Rel. int. |
| --- | --- |
| 21.6 | 100 |
| 21.9 | 90 |
| 24.3 | 21 |
| 27.4 | 16 |
| 28.0 | 16 |
| 32.4 | 31 |
| 32.7 | 42 |
| 33.9 | 80 |
| 47.6 | 13 |
| 57.2 | 15 |
| 59.6 | 22 |
| 60.1 | 23 |

Cell and atoms:
Cell: 5.290 5.290 6.438 Å, 90.58 90.58 87.87°
Fractional positions:
Li 0.000 0.000 0.000
Li 0.129 0.489 0.751
Li 0.511 0.871 0.249
Fe 0.142 0.496 0.260
Fe 0.504 0.858 0.740
Si 0.636 0.364 0.000
Si 0.995 0.005 0.500
O 0.052 0.307 0.499
O 0.120 0.875 0.286
O 0.125 0.880 0.714
O 0.503 0.493 0.206
O 0.507 0.497 0.794
O 0.606 0.052 0.990
O 0.693 0.948 0.501
O 0.948 0.394 0.010